Structure and computed PXRD pattern of Li4PtRh3O8 (a cell relaxed with GGA-PBE; Cu Kα (weighted mean of Kα1 and Kα2)).

Structure:
```
data_Li4PtRh3O8
_cell_length_a 10.4199
_cell_length_b 6.1323
_cell_length_c 5.8681
_cell_angle_alpha 90.00
_cell_angle_beta 120.08
_cell_angle_gamma 90.00
_space_group_name_H-M_alt 'C 1 2/m 1'
_space_group_IT_number 12
loop_
_space_group_symop_operation_xyz
'x,y,z'
'-x,-y,-z'
'-x,y,-z'
'x,-y,z'
'x+1/2,y+1/2,z'
'-x+1/2,-y+1/2,-z'
'-x+1/2,y+1/2,-z'
'x+1/2,-y+1/2,z'
loop_
_atom_site_label
_atom_site_fract_x
_atom_site_fract_y
_atom_site_fract_z
Li1 0.0000 0.0000 0.0000
Li2 0.0000 0.5000 0.0000
Li3 0.2500 0.2500 0.5000
Pt1 0.0000 0.0000 0.5000
Rh1 0.0000 0.5000 0.5000
Rh2 0.2500 0.2500 0.0000
O1 0.0199 0.2451 0.7549
O2 0.2295 0.5000 0.2190
O3 0.2329 0.5000 0.7428
```

Main lines, low angle first (15° ≤ 2θ ≤ 90°):
h k l  two_theta  I (rel.)
2 0 -1  18.65  100
2 0 1  32.50  22
0 2 1  34.16  40
2 2 0  35.39  37
4 0 0  40.00  23
2 2 -2  42.71  39
4 2 -1  45.76  16
2 2 2  58.22  18